The following is a simulated X-ray powder pattern of ErTm4Si4. It was derived from a crystal structure in Alexandria, relaxed with PBE, using λ = 1.5418 Å (Cu Kα).
Kinematic intensities with the Lorentz-polarization factor, no thermal factor.

Principal peaks in the range 10° ≤ 2θ ≤ 90°, low angle first:
two_theta, d/Å, I/Imax, hkl
27.4, 3.260, 100, 2 1 1
31.8, 2.817, 87, 1 3 0
32.5, 2.753, 28, 2 2 1
33.2, 2.701, 50, 1 0 2
45.5, 1.992, 27, 4 2 0
53.9, 1.700, 24, 5 0 1

Structural model:
```
ErTm4Si4
1.0
8.9096 0.0000 0.0000
0.0000 8.9096 0.0000
0.0000 0.0000 5.6687
Er Tm Si
2 8 8
Direct
0.2500 0.2500 0.2500
0.7500 0.7500 0.7500
0.0846 0.6532 0.1272
0.1532 0.9154 0.6272
0.3468 0.5846 0.6272
0.4154 0.8468 0.1272
0.5846 0.1532 0.8728
0.6532 0.4154 0.3728
0.8468 0.0846 0.3728
0.9154 0.3468 0.8728
0.0270 0.6094 0.6277
0.1094 0.9730 0.1277
0.3906 0.5270 0.1277
0.4730 0.8906 0.6277
0.5270 0.1094 0.3723
0.6094 0.4730 0.8723
0.8906 0.0270 0.8723
0.9730 0.3906 0.3723
```